Starting from a cell relaxed with PBE, the PXRD pattern of RbPm3Se4O12 was simulated for Cu Kα.
Peak positions follow from Bragg's law for the DFT cell and can differ from measured ones.

The 10 most intense peaks (2θ from 10° to 90°), sorted by position:
hkl 1 1 0, 2θ = 14.12°, intensity 227
hkl 2 1 1, 2θ = 23.94°, intensity 513
hkl 2 0 2, 2θ = 26.17°, intensity 1000
hkl 2 2 0, 2θ = 28.46°, intensity 255
hkl 1 3 1, 2θ = 31.40°, intensity 453
hkl 1 1 3, 2θ = 33.92°, intensity 248
hkl 0 2 4, 2θ = 44.70°, intensity 228
hkl 5 0 2, 2θ = 46.68°, intensity 169
hkl 4 1 3, 2θ = 49.57°, intensity 206
hkl 5 2 0, 2θ = 52.61°, intensity 243

Structure:
Cell lengths 12.5450, 12.5450, 8.7418 Å; angles 90.00, 90.00, 120.00 degrees
Space group R32 (No. 155, hexagonal axes)
One atom of each set of equivalent atoms:
Rb1 0.0000 0.0000 0.0000 [3 per cell]
Pm1 0.0000 0.5660 0.0000 [9 per cell]
Se1 0.0000 0.0000 0.5000 [3 per cell]
Se2 0.0000 0.4336 0.5000 [9 per cell]
O1 0.0000 0.6172 0.5000 [9 per cell]
O2 0.0000 0.8485 0.5000 [9 per cell]
O3 0.0454 0.2509 0.1701 [18 per cell]